InCuSeS: computed PXRD pattern (Cu Kα X-rays), based on a crystal structure in OQMD, relaxed with GGA-PBE.
Lines closer than 0.1° are merged.

Peak list (8 most intense, 2θ from 10° to 90°, low angle first)
2θ/deg	Rel. int.
27.0	100
28.0	7
36.0	9
44.8	45
44.9	21
52.9	15
53.2	27
82.7	9

```
InCuSeS
1.0
4.037 -4.038 0.000
4.037 4.038 0.000
-4.026 0.000 5.746
In Cu Se S
2 2 2 2
Cartesian
2.024 2.978 2.873 In
4.037 -2.978 0.000 In
0.168 0.904 5.746 Cu
2.181 -0.904 2.873 Cu
-1.814 1.135 4.311 Se
0.199 -1.135 1.438 Se
1.974 0.888 4.307 S
3.987 -0.888 1.435 S
```

=====

InCu2Se2S: computed PXRD pattern (Cu Kα X-rays), based on a crystal structure in OQMD, relaxed with GGA-PBE.
Lines closer than 0.1° are merged.

Peak list (8 most intense, 2θ from 10° to 90°, low angle first)
2θ/deg	Rel. int.
27.4	100
27.6	36
45.5	44
45.6	15
45.8	30
53.9	21
54.1	19
66.5	12

```
InCu2Se2S
1.0
3.459 -5.975 0.000
3.459 5.975 0.000
-2.288 0.000 6.467
In Cu Se S
2 4 4 2
Cartesian
2.314 4.826 3.234 In
3.459 -4.826 0.000 In
1.315 2.949 6.294 Cu
2.211 1.052 3.165 Cu
1.067 -1.052 6.399 Cu
2.459 -2.949 3.061 Cu
2.487 1.016 0.781 Se
1.343 -1.016 4.014 Se
4.565 1.138 3.831 Se
5.709 -1.138 0.598 Se
1.070 2.807 4.023 S
2.214 -2.807 0.789 S
```

=====

InCu2Se2S: computed PXRD pattern (Cu Kα X-rays), based on a crystal structure in OQMD, relaxed with GGA-PBE.
Lines closer than 0.1° are merged.

Peak list (8 most intense, 2θ from 10° to 90°, low angle first)
2θ/deg	Rel. int.
27.4	100
27.5	31
45.4	43
45.6	44
53.8	13
53.9	30
54.0	10
84.0	12

```
InCu2Se2S
1.0
3.462 -5.982 0.000
3.462 5.982 0.000
-2.312 0.000 6.496
In Cu Se S
2 4 4 2
Cartesian
2.306 4.954 3.248 In
3.462 -4.954 0.000 In
3.444 3.042 0.018 Cu
2.367 0.981 3.262 Cu
3.523 -0.981 0.014 Cu
2.288 -3.042 3.266 Cu
1.075 2.820 4.120 Se
2.472 1.003 0.867 Se
1.316 -1.003 4.115 Se
2.231 -2.820 0.872 Se
4.561 1.100 3.955 S
5.717 -1.100 0.708 S
```

=====

InCuSiSe2S: computed PXRD pattern (Cu Kα X-rays), based on a crystal structure in OQMD, relaxed with GGA-PBE.
Lines closer than 0.1° are merged.

Peak list (8 most intense, 2θ from 10° to 90°, low angle first)
2θ/deg	Rel. int.
25.7	32
32.2	100
32.4	41
33.4	73
35.5	77
48.6	57
50.9	28
58.2	27

```
InCuSiSe2S
1.0
1.794 -6.606 0.000
1.794 6.606 0.000
0.000 0.000 10.125
In Cu Si Se S
2 2 2 4 2
Cartesian
1.794 3.681 7.594 In
1.794 -3.681 2.531 In
1.794 5.173 2.531 Cu
1.794 -5.173 7.594 Cu
1.794 0.000 0.000 Si
1.794 0.000 5.063 Si
1.794 4.853 0.143 Se
1.794 4.853 4.920 Se
1.794 -4.853 5.205 Se
1.794 -4.853 9.982 Se
1.794 0.166 2.531 S
1.794 -0.166 7.594 S
```

=====

InCuTcSeS2: computed PXRD pattern (Cu Kα X-rays), based on a crystal structure in OQMD, relaxed with GGA-PBE.
Lines closer than 0.1° are merged.

Peak list (8 most intense, 2θ from 10° to 90°, low angle first)
2θ/deg	Rel. int.
12.4	37
22.4	28
33.9	100
37.7	41
37.8	44
42.3	34
43.5	33
45.7	31

```
InCuTcSeS2
1.0
1.685 -7.166 0.000
1.685 7.166 0.000
0.000 0.000 9.517
In Cu Tc Se S
2 2 2 2 4
Cartesian
1.685 3.696 7.137 In
1.685 -3.696 2.379 In
1.685 0.670 2.379 Cu
1.685 -0.670 7.137 Cu
0.000 0.000 0.000 Tc
0.000 0.000 4.758 Tc
1.685 6.081 2.379 Se
1.685 -6.081 7.137 Se
1.685 1.738 0.405 S
1.685 1.738 4.353 S
1.685 -1.738 5.163 S
1.685 -1.738 9.112 S
```

=====

Ta2In3Cu3S8: computed PXRD pattern (Cu Kα X-rays), based on a crystal structure in OQMD, relaxed with GGA-PBE.
Lines closer than 0.1° are merged.

Peak list (8 most intense, 2θ from 10° to 90°, low angle first)
2θ/deg	Rel. int.
14.4	90
15.9	88
25.2	99
29.0	84
30.1	100
35.4	96
45.6	81
52.0	96

```
Ta2In3Cu3S8
1.0
9.775 -2.782 0.000
9.775 2.782 0.000
-0.778 0.000 7.292
Ta In Cu S
2 3 3 8
Cartesian
2.405 0.000 1.396 Ta
16.367 0.000 5.896 Ta
9.386 1.360 3.646 In
5.956 -1.559 2.069 In
12.816 -1.559 5.223 In
9.775 2.775 0.000 Cu
6.683 0.000 5.983 Cu
12.089 0.000 1.309 Cu
6.111 1.351 4.161 S
7.870 1.500 0.463 S
10.902 1.500 6.829 S
12.661 1.351 3.131 S
4.849 -1.378 6.390 S
8.446 -1.487 5.415 S
10.326 -1.487 1.877 S
13.923 -1.378 0.903 S
```

=====

ZrInCuTeS2: computed PXRD pattern (Cu Kα X-rays), based on a crystal structure in OQMD, relaxed with GGA-PBE.
Lines closer than 0.1° are merged.

Peak list (8 most intense, 2θ from 10° to 90°, low angle first)
2θ/deg	Rel. int.
11.6	45
17.1	38
30.8	100
34.3	72
34.7	39
39.6	37
51.6	32
53.6	24

```
ZrInCuTeS2
1.0
1.886 -7.606 0.000
1.886 7.606 0.000
0.000 0.000 10.350
Zr In Cu Te S
2 2 2 2 4
Cartesian
0.000 0.000 0.000 Zr
0.000 0.000 5.175 Zr
1.886 4.323 7.763 In
1.886 -4.323 2.588 In
1.886 0.418 2.588 Cu
1.886 -0.418 7.763 Cu
1.886 6.195 2.588 Te
1.886 -6.195 7.763 Te
1.886 1.673 0.672 S
1.886 1.673 4.503 S
1.886 -1.673 5.847 S
1.886 -1.673 9.678 S
```

=====

ScIn2Cu5: computed PXRD pattern (Cu Kα X-rays), based on a crystal structure in OQMD, relaxed with GGA-PBE.
Lines closer than 0.1° are merged.

Peak list (8 most intense, 2θ from 10° to 90°, low angle first)
2θ/deg	Rel. int.
24.6	14
40.6	51
40.8	100
58.8	16
59.3	7
74.0	31
74.4	14
88.4	9

```
ScIn2Cu5
1.0
4.441 0.000 0.000
0.000 4.441 0.000
0.000 0.000 6.231
Sc In Cu
1 2 5
Cartesian
0.000 0.000 0.000 Sc
0.000 0.000 3.116 In
2.220 2.220 0.000 In
0.000 2.220 1.654 Cu
0.000 2.220 4.577 Cu
2.220 0.000 1.654 Cu
2.220 0.000 4.577 Cu
2.220 2.220 3.116 Cu
```

=====

Sc4InCuSe8: computed PXRD pattern (Cu Kα X-rays), based on a crystal structure in OQMD, relaxed with GGA-PBE.
Lines closer than 0.1° are merged.

Peak list (8 most intense, 2θ from 10° to 90°, low angle first)
2θ/deg	Rel. int.
22.6	27
26.5	43
27.7	60
32.1	56
42.1	29
46.0	100
54.6	25
85.3	29

```
Sc4InCuSe8
1.0
0.000 5.575 5.575
5.575 0.000 5.575
5.575 5.575 0.000
Sc In Cu Se
4 1 1 8
Cartesian
4.261 4.261 4.261 Sc
6.890 6.890 4.261 Sc
6.890 4.261 6.890 Sc
4.261 6.890 6.890 Sc
0.000 0.000 0.000 In
8.363 8.363 8.363 Cu
6.937 4.213 4.213 Se
1.512 1.512 1.512 Se
4.064 4.064 1.512 Se
4.064 1.512 4.064 Se
1.512 4.064 4.064 Se
4.213 6.937 4.213 Se
4.213 4.213 6.937 Se
6.937 6.937 6.937 Se
```

=====

TbInCu3Se4: computed PXRD pattern (Cu Kα X-rays), based on a crystal structure in OQMD, relaxed with GGA-PBE.
Lines closer than 0.1° are merged.

Peak list (8 most intense, 2θ from 10° to 90°, low angle first)
2θ/deg	Rel. int.
15.1	57
24.4	36
26.1	68
28.8	63
29.2	54
34.2	65
38.7	48
41.9	100

```
TbInCu3Se4
1.0
6.038 0.000 0.000
0.000 7.306 0.000
-2.158 0.000 9.773
Tb In Cu Se
2 2 6 8
Cartesian
-0.077 1.826 2.941 Tb
3.958 5.479 6.832 Tb
-0.343 1.826 8.948 In
4.224 5.479 0.825 In
0.668 4.127 5.110 Cu
0.668 6.832 5.110 Cu
0.915 5.479 7.465 Cu
2.966 1.826 2.308 Cu
3.213 0.474 4.663 Cu
3.213 3.179 4.663 Cu
-1.013 1.826 5.562 Se
-0.693 5.479 9.195 Se
1.805 3.843 2.825 Se
1.805 7.116 2.825 Se
2.076 0.190 6.948 Se
2.076 3.463 6.948 Se
4.574 1.826 0.578 Se
4.894 5.479 4.211 Se
```

=====

In2CuTe3Se: computed PXRD pattern (Cu Kα X-rays), based on a crystal structure in OQMD, relaxed with GGA-PBE.
Lines closer than 0.1° are merged.

Peak list (8 most intense, 2θ from 10° to 90°, low angle first)
2θ/deg	Rel. int.
24.9	100
25.5	85
25.8	81
25.9	80
41.5	42
41.9	44
42.0	39
42.8	37

```
In2CuTe3Se
1.0
6.030 0.000 0.000
0.095 6.048 0.000
2.932 2.804 6.050
In Cu Te Se
2 1 3 1
Cartesian
0.000 0.000 0.000 In
3.058 6.045 3.113 In
5.876 5.935 6.038 Cu
1.413 1.845 1.627 Te
4.645 4.238 1.601 Te
7.204 4.377 4.457 Te
4.730 7.475 4.575 Se
```

=====

InCu2TeSe2: computed PXRD pattern (Cu Kα X-rays), based on a crystal structure in OQMD, relaxed with GGA-PBE.
Lines closer than 0.1° are merged.

Peak list (8 most intense, 2θ from 10° to 90°, low angle first)
2θ/deg	Rel. int.
26.2	100
26.4	46
26.5	49
43.5	68
43.6	47
44.3	22
51.3	21
51.7	25

```
InCu2TeSe2
1.0
3.606 -6.236 0.000
3.606 6.236 0.000
-2.537 0.000 6.718
In Cu Te Se
2 4 2 4
Cartesian
2.338 5.201 3.359 In
3.606 -5.201 0.000 In
3.421 3.074 0.059 Cu
2.269 0.914 3.272 Cu
1.000 -0.914 6.631 Cu
2.153 -3.074 3.418 Cu
0.959 2.909 4.227 Te
2.227 -2.909 0.867 Te
2.469 1.021 0.880 Se
1.201 -1.021 4.239 Se
4.573 1.141 4.062 Se
5.841 -1.141 0.703 Se
```

=====

InCu2Te2Se: computed PXRD pattern (Cu Kα X-rays), based on a crystal structure in OQMD, relaxed with GGA-PBE.
Lines closer than 0.1° are merged.

Peak list (8 most intense, 2θ from 10° to 90°, low angle first)
2θ/deg	Rel. int.
25.8	100
42.7	57
42.9	11
50.5	15
50.6	12
50.8	13
68.3	9
78.3	6

```
InCu2Te2Se
1.0
3.665 -6.345 0.000
3.665 6.345 0.000
-2.482 0.000 6.892
In Cu Te Se
2 4 4 2
Cartesian
2.424 5.188 3.446 In
3.665 -5.188 0.000 In
1.026 3.011 6.819 Cu
2.198 0.910 3.224 Cu
0.957 -0.910 6.670 Cu
2.267 -3.011 3.373 Cu
0.969 2.921 4.260 Te
2.210 -2.921 0.814 Te
4.642 1.211 4.062 Te
5.883 -1.211 0.616 Te
2.485 1.035 0.837 Se
1.244 -1.035 4.283 Se
```